The following is a calculated powder diffractogram of Tm4In3Cu. It was derived from a cell relaxed with PBE, using copper Kα.

Structure:
Lattice parameters (Å, degrees): 3.468 3.468 16.141 90.00 90.00 90.00
Sites, in units of the cell vectors:
Tm  0.000  0.000  0.104
Tm  0.000  0.000  0.368
Tm  0.000  0.000  0.632
Tm  0.000  0.000  0.896
In  0.500  0.500  0.236
In  0.500  0.500  0.500
In  0.500  0.500  0.764
Cu  0.500  0.500  0.000

Top 10 peaks for 10 to 80 degrees two-theta, in order of rising 2θ:
| hkl | two_theta | I_rel |
| --- | --- | --- |
| 1 0 3 | 30.7 | 8 |
| 1 0 4 | 34.1 | 100 |
| 1 1 0 | 36.6 | 46 |
| 0 0 8 | 44.9 | 8 |
| 2 0 0 | 52.8 | 16 |
| 1 1 7 | 54.6 | 7 |
| 1 1 8 | 59.3 | 14 |
| 2 1 4 | 64.4 | 33 |
| 1 0 11 | 69.6 | 7 |
| 2 0 8 | 71.8 | 8 |



The following is a calculated powder diffractogram of KRbInAg. It was derived from a cell relaxed with PBE, using copper Kα.

Structure:
Lattice parameters (Å, degrees): 8.606 4.964 8.977 90.00 108.82 90.00
Sites, in units of the cell vectors:
K  0.000  0.000  0.000
K  0.500  0.500  0.000
Rb  0.314  0.500  0.448
Rb  0.814  0.000  0.448
In  0.245  0.000  0.738
In  0.745  0.500  0.738
Ag  0.079  0.500  0.740
Ag  0.579  0.000  0.740

Top 10 peaks for 10 to 80 degrees two-theta, in order of rising 2θ:
| hkl | two_theta | I_rel |
| --- | --- | --- |
| 0 0 1 | 10.4 | 100 |
| 1 1 1 | 25.0 | 40 |
| 2 0 1 | 27.1 | 45 |
| 0 0 3 | 31.6 | 15 |
| 2 0 -3 | 32.2 | 18 |
| 0 2 0 | 36.2 | 46 |
| 3 1 -2 | 37.7 | 28 |
| 0 2 3 | 48.7 | 18 |
| 0 2 4 | 57.1 | 14 |
| 5 1 0 | 59.7 | 9 |